Record 1
Simulated X-ray powder pattern of Mn8O13F3 for copper Kα, from a crystal structure in the Materials Project, relaxed with GGA+U.
Intensities are scaled so that the largest is 100.

Most intense lines, 10° ≤ 2θ ≤ 90°, low angle first:
| 2θ/deg | I_rel | (hkl) |
| --- | --- | --- |
| 25.1 | 65 | 1 1 0 |
| 26.0 | 54 | 1 -1 0 |
| 30.8 | 52 | 1 1 2 |
| 31.0 | 46 | 1 1 -2 |
| 31.7 | 100 | -1 1 2 |
| 37.2 | 24 | 0 2 2 |
| 37.3 | 23 | 0 2 -2 |
| 54.8 | 46 | 2 0 4 |
| 55.2 | 24 | 2 0 -4 |
| 65.7 | 23 | 0 2 -6 |

Structure:
```
Mn8O13F3
1.0
4.5039 0.0000 0.0000
0.2064 5.5225 0.0000
0.0536 0.0207 9.9625
Mn O F
8 13 3
direct
0.0000 0.0000 0.0000
0.0023 0.6920 0.2389
0.4771 0.4734 0.0035
0.4804 0.4871 0.4995
0.4896 0.1927 0.2506
0.4990 0.1910 0.7575
0.9764 0.9906 0.4958
0.9931 0.6900 0.7424
0.2045 0.7208 0.5813
0.2173 0.9466 0.8344
0.2193 0.9434 0.3310
0.2228 0.7206 0.0811
0.2429 0.4449 0.3337
0.2504 0.4457 0.8371
0.2654 0.2307 0.0885
0.7032 0.2192 0.4146
0.7179 0.4444 0.6644
0.7187 0.2252 0.9142
0.7189 0.4444 0.1616
0.7428 0.9438 0.6635
0.7568 0.9488 0.1593
0.2503 0.2140 0.5993
0.7455 0.7104 0.9098
0.7512 0.7141 0.3965
```


Record 2
Simulated X-ray powder pattern of Mn6O7F5 for copper Kα, from a crystal structure in the Materials Project, relaxed with GGA+U.
Intensities are scaled so that the largest is 100.

Most intense lines, 10° ≤ 2θ ≤ 90°, low angle first:
| 2θ/deg | I_rel | (hkl) |
| --- | --- | --- |
| 25.0 | 58 | 1 1 0 |
| 30.6 | 100 | 1 1 3 |
| 35.0 | 12 | 0 0 6 |
| 36.5 | 21 | 0 2 3 |
| 41.6 | 20 | 1 2 -3 |
| 43.5 | 18 | 1 1 6 |
| 52.9 | 15 | 1 3 0 |
| 54.6 | 38 | 2 2 3 |
| 63.8 | 18 | 0 2 9 |
| 65.0 | 13 | 1 3 6 |

Structure:
```
Mn6O7F5
1.0
4.6007 0.0000 0.0000
0.0000 5.6044 0.0000
-0.0440 0.0000 15.3866
Mn O F
12 14 10
direct
0.0000 0.1375 0.0000
0.0000 0.8625 0.5000
0.0079 0.1494 0.3313
0.0079 0.8506 0.8313
0.4965 0.3521 0.8248
0.4965 0.6479 0.3248
0.5247 0.3320 0.4911
0.5247 0.6680 0.9911
0.5654 0.3541 0.1570
0.5654 0.6459 0.6570
0.9994 0.1472 0.6700
0.9994 0.8528 0.1700
0.2246 0.1166 0.4403
0.2246 0.8834 0.9403
0.2288 0.1237 0.7755
0.2288 0.8763 0.2755
0.7168 0.3913 0.3806
0.7168 0.6087 0.8806
0.7419 0.3926 0.0478
0.7419 0.6074 0.5478
0.7496 0.3857 0.7145
0.7496 0.6143 0.2145
0.7973 0.1017 0.5622
0.7973 0.8983 0.0622
0.8040 0.1137 0.2215
0.8040 0.8863 0.7215
0.2474 0.3762 0.9389
0.2474 0.6238 0.4389
0.2758 0.1182 0.1136
0.2758 0.8818 0.6136
0.2799 0.3710 0.6043
0.2799 0.6290 0.1043
0.2917 0.3836 0.2606
0.2917 0.6164 0.7606
0.7381 0.1154 0.8876
0.7381 0.8846 0.3876
```


Record 3
Simulated X-ray powder pattern of Mn12O5F19 for copper Kα, from a crystal structure in the Materials Project, relaxed with GGA+U.
Intensities are scaled so that the largest is 100.

Most intense lines, 10° ≤ 2θ ≤ 90°, low angle first:
| 2θ/deg | I_rel | (hkl) |
| --- | --- | --- |
| 23.7 | 31 | 1 1 0 |
| 24.0 | 29 | 1 -1 0 |
| 28.9 | 33 | 1 1 3 |
| 29.3 | 100 | 1 1 -3 |
| 33.6 | 12 | 0 0 6 |
| 39.8 | 14 | -1 2 3 |
| 50.8 | 17 | 2 0 6 |
| 51.2 | 16 | 2 0 -6 |
| 51.5 | 13 | 2 2 3 |
| 61.4 | 13 | 0 2 -9 |

Structure:
```
Mn12O5F19
1.0
4.8352 0.0000 0.0000
0.0629 5.8556 0.0000
0.1067 0.1990 15.9940
Mn O F
12 5 19
direct
0.0000 0.0000 0.0000
0.0016 0.9980 0.6647
0.0045 0.6928 0.5028
0.4717 0.5372 0.6622
0.4819 0.5286 0.9878
0.4940 0.2082 0.1653
0.4979 0.1951 0.4931
0.5008 0.2075 0.8316
0.5125 0.5005 0.3287
0.9630 0.0318 0.3337
0.9737 0.6706 0.1713
0.9805 0.6812 0.8431
0.2002 0.7298 0.9423
0.1998 0.7613 0.6136
0.6942 0.4545 0.2229
0.7001 0.4792 0.8873
0.7025 0.2554 0.3842
0.2114 0.9589 0.7786
0.2126 0.9752 0.4414
0.2220 0.9724 0.1157
0.2260 0.7311 0.2815
0.2305 0.2368 0.2682
0.2449 0.4564 0.7726
0.2496 0.2350 0.9408
0.2503 0.2457 0.6047
0.2572 0.4756 0.0983
0.2666 0.4794 0.4339
0.7083 0.4689 0.5547
0.7127 0.2536 0.0505
0.7310 0.2296 0.7147
0.7456 0.7480 0.0587
0.7499 0.9552 0.2210
0.7504 0.9711 0.5607
0.7498 0.9737 0.8912
0.7548 0.7540 0.3929
0.7617 0.7373 0.7324
```


Record 4
Simulated X-ray powder pattern of Mn8O13F3 for copper Kα, from a crystal structure in the Materials Project, relaxed with GGA+U.
Intensities are scaled so that the largest is 100.

Most intense lines, 10° ≤ 2θ ≤ 90°, low angle first:
| 2θ/deg | I_rel | (hkl) |
| --- | --- | --- |
| 26.5 | 100 | 1 0 -2 |
| 28.5 | 89 | 1 0 2 |
| 35.7 | 40 | 0 2 2 |
| 36.1 | 57 | 1 2 0 |
| 52.7 | 25 | 1 2 -4 |
| 53.5 | 31 | 2 2 -2 |
| 55.0 | 23 | 1 2 4 |
| 55.8 | 28 | 2 2 2 |
| 62.2 | 18 | 0 4 0 |
| 68.0 | 21 | 0 2 6 |

Structure:
```
Mn8O13F3
1.0
4.5267 0.0000 0.0000
0.0000 5.9736 0.0000
-0.6724 0.0000 9.3257
Mn O F
8 13 3
direct
0.0000 0.0000 0.0000
0.9998 0.5000 0.4998
0.0332 0.0000 0.4858
0.4641 0.2507 0.7635
0.4641 0.7493 0.7635
0.5304 0.2427 0.2388
0.5304 0.7573 0.2388
0.9932 0.5000 0.0040
0.2197 0.2510 0.5890
0.2197 0.7490 0.5890
0.2240 0.2504 0.0825
0.2240 0.7496 0.0825
0.2625 0.5000 0.8391
0.2663 0.0000 0.8426
0.3279 0.0000 0.3226
0.7312 0.0000 0.1603
0.7349 0.5000 0.1605
0.7795 0.2514 0.9147
0.7795 0.7486 0.9147
0.7973 0.2481 0.4068
0.7973 0.7519 0.4068
0.3181 0.5000 0.3272
0.6863 0.0000 0.6750
0.6950 0.5000 0.6710
```


Record 5
Simulated X-ray powder pattern of Mn6O7F5 for copper Kα, from a crystal structure in the Materials Project, relaxed with GGA+U.
Intensities are scaled so that the largest is 100.

Most intense lines, 10° ≤ 2θ ≤ 90°, low angle first:
| 2θ/deg | I_rel | (hkl) |
| --- | --- | --- |
| 26.8 | 100 | 1 1 1 |
| 27.4 | 99 | -1 1 1 |
| 34.7 | 30 | 0 2 -1 |
| 34.8 | 49 | 1 1 -2 |
| 35.1 | 27 | 1 -1 2 |
| 52.7 | 28 | 2 2 -1 |
| 53.2 | 29 | 1 -3 0 |
| 55.1 | 17 | 2 2 2 |
| 56.6 | 16 | -2 2 2 |
| 59.9 | 18 | 0 2 -4 |

Structure:
```
Mn6O7F5
1.0
4.6212 0.0000 0.0000
0.1359 5.6313 0.0000
0.0670 0.5116 7.7196
Mn O F
6 7 5
direct
0.0000 0.0000 0.0000
0.0051 0.6475 0.2928
0.4701 0.4724 0.9616
0.4875 0.1542 0.3150
0.5011 0.8258 0.6482
0.9864 0.3193 0.6411
0.1771 0.3609 0.4085
0.2027 0.7008 0.0727
0.2910 0.1856 0.0882
0.3106 0.5329 0.7354
0.6778 0.1131 0.5460
0.8041 0.2819 0.8785
0.8047 0.9463 0.2105
0.1969 0.0163 0.7679
0.2838 0.8528 0.4238
0.6783 0.4564 0.1916
0.7155 0.7929 0.8778
0.7889 0.6309 0.5200
```


Record 6
Simulated X-ray powder pattern of Mn8O13F3 for copper Kα, from a crystal structure in the Materials Project, relaxed with GGA+U.
Intensities are scaled so that the largest is 100.

Most intense lines, 10° ≤ 2θ ≤ 90°, low angle first:
| 2θ/deg | I_rel | (hkl) |
| --- | --- | --- |
| 25.0 | 65 | -1 1 1 |
| 26.0 | 54 | 1 1 1 |
| 30.8 | 52 | 1 0 -2 |
| 30.9 | 46 | 1 -2 0 |
| 31.7 | 100 | 1 2 0 |
| 37.1 | 47 | 2 1 -1 |
| 54.8 | 46 | 0 0 4 |
| 55.1 | 24 | 0 4 0 |
| 56.7 | 36 | 2 1 3 |
| 65.4 | 22 | 2 3 -3 |

Structure:
```
Mn8O13F3
1.0
5.5454 0.0000 0.0000
-0.1645 6.7062 0.0000
-0.1823 -0.6883 6.7012
Mn O F
8 13 3
direct
0.0000 0.0000 0.0000
0.0040 0.4978 0.4902
0.1895 0.5054 0.9922
0.2085 0.9983 0.4803
0.4991 0.7644 0.7350
0.5065 0.2633 0.2322
0.7044 0.2506 0.7354
0.7221 0.7381 0.2341
0.2430 0.7843 0.9402
0.2447 0.2210 0.0317
0.2494 0.7177 0.5298
0.2530 0.2802 0.4335
0.4726 0.0298 0.6807
0.4731 0.5325 0.1835
0.7455 0.1997 0.0168
0.7484 0.2942 0.4512
0.7493 0.7936 0.9541
0.7515 0.7015 0.5149
0.9647 0.5464 0.2130
0.9693 0.9496 0.2655
0.9714 0.4457 0.7642
0.4656 0.4828 0.7802
0.4915 0.9673 0.2680
0.9786 0.0346 0.7186
```


Record 7
Simulated X-ray powder pattern of Mn6OF11 for copper Kα, from a crystal structure in the Materials Project, relaxed with GGA+U.
Intensities are scaled so that the largest is 100.

Most intense lines, 10° ≤ 2θ ≤ 90°, low angle first:
| 2θ/deg | I_rel | (hkl) |
| --- | --- | --- |
| 23.5 | 81 | 1 1 0 |
| 28.6 | 100 | 1 1 -3 |
| 28.9 | 98 | 1 1 3 |
| 34.6 | 24 | 0 2 3 |
| 49.7 | 24 | 2 0 -6 |
| 49.9 | 29 | 1 3 0 |
| 50.2 | 24 | 2 0 6 |
| 50.9 | 33 | 2 2 -3 |
| 51.2 | 34 | 2 2 3 |
| 60.1 | 32 | 0 2 9 |

Structure:
```
Mn6OF11
1.0
4.9486 0.0000 0.0000
0.0000 5.9023 0.0000
-0.1655 0.0000 16.2355
Mn O F
12 2 22
direct
0.0000 0.0000 0.0000
0.0000 0.3319 0.5000
0.0048 0.3168 0.1684
0.0165 0.0050 0.3271
0.4740 0.8564 0.1712
0.4964 0.5039 0.3330
0.5000 0.5042 0.0000
0.5000 0.8427 0.5000
0.5036 0.5039 0.6670
0.5260 0.8564 0.8288
0.9835 0.0050 0.6729
0.9952 0.3168 0.8316
0.2041 0.0819 0.2168
0.7959 0.0819 0.7832
0.2199 0.2853 0.0579
0.2217 0.0564 0.5624
0.2284 0.2922 0.7270
0.2369 0.2755 0.3923
0.2407 0.0630 0.8931
0.2560 0.5446 0.8849
0.2574 0.5644 0.2211
0.2674 0.7764 0.3898
0.2735 0.5612 0.5564
0.2792 0.7775 0.0556
0.2888 0.7887 0.7232
0.7112 0.7887 0.2768
0.7208 0.7775 0.9444
0.7265 0.5612 0.4436
0.7326 0.7764 0.6102
0.7426 0.5644 0.7789
0.7440 0.5446 0.1151
0.7593 0.0630 0.1069
0.7631 0.2755 0.6077
0.7716 0.2922 0.2730
0.7783 0.0564 0.4376
0.7801 0.2853 0.9421
```


Record 8
Simulated X-ray powder pattern of Mn3O4F2 for copper Kα, from a crystal structure in the Materials Project, relaxed with GGA+U.
Intensities are scaled so that the largest is 100.

Most intense lines, 10° ≤ 2θ ≤ 90°, low angle first:
| 2θ/deg | I_rel | (hkl) |
| --- | --- | --- |
| 27.3 | 100 | 1 1 -1 |
| 34.9 | 14 | 2 0 1 |
| 35.0 | 41 | 1 1 2 |
| 40.3 | 18 | 2 1 1 |
| 53.3 | 15 | 3 1 0 |
| 53.5 | 45 | 0 2 3 |
| 56.4 | 17 | 2 2 -2 |
| 60.0 | 10 | 2 0 4 |
| 67.1 | 6 | 3 1 3 |
| 68.3 | 10 | 1 3 2 |

Structure:
```
Mn3O4F2
1.0
5.5671 0.0000 0.0000
0.0000 4.5998 0.0000
-0.4218 0.0000 7.6831
Mn O F
6 8 4
direct
0.0694 0.0000 0.3421
0.2673 0.4636 0.0025
0.4088 0.9612 0.6801
0.5912 0.4612 0.3199
0.7327 0.9636 0.9975
0.9306 0.5000 0.6579
0.1214 0.1646 0.5743
0.2213 0.6647 0.7788
0.2892 0.2768 0.2325
0.4536 0.1632 0.8989
0.5464 0.6632 0.1011
0.7108 0.7768 0.7675
0.7787 0.1647 0.2212
0.8786 0.6646 0.4257
0.0446 0.7775 0.0989
0.3878 0.7628 0.4388
0.6122 0.2628 0.5612
0.9554 0.2775 0.9011
```